[1]
Simulated powder diffraction line list of Na3Pt12O16 for CuKα, from a crystal structure in Alexandria, relaxed with GGA-PBE.
Peak positions follow from Bragg's law for the DFT cell and can differ from measured ones.

Lattice parameters (Å, degrees): 11.4968 11.4968 11.4968 90.00 90.00 90.00
Space group Fm-3 (No. 202)
One atom of each set of equivalent atoms:
1 Na 0.0000 0.0000 0.0000 (multiplicity 4)
2 Na 0.2500 0.2500 0.2500 (multiplicity 8)
3 Pt 0.0000 0.1236 0.2514 (multiplicity 48)
4 O 0.1240 0.1240 0.1240 (multiplicity 32)
5 O 0.1299 0.1299 0.3701 (multiplicity 32)

Largest 6 diffraction maxima, sorted by position, 2θ from 5° to 70°:
d 4.065, 21.9 deg, intensity 33, hkl 2 2 0; d 2.571, 34.9 deg, intensity 100, hkl 4 0 2; d 2.347, 38.4 deg, intensity 23, hkl 4 2 2; d 1.659, 55.4 deg, intensity 23, hkl 4 4 4; d 1.594, 57.8 deg, intensity 24, hkl 6 4 0; d 1.536, 60.2 deg, intensity 13, hkl 6 2 4


[2]
Simulated powder diffraction line list of TmCN2F for CuKα, from a crystal structure in Alexandria, relaxed with GGA-PBE.
Peak positions follow from Bragg's law for the DFT cell and can differ from measured ones.

Lattice parameters (Å, degrees): 5.4295 3.4326 6.5049 90.00 95.38 90.00
Space group P2_1/m (No. 11)
One atom of each set of equivalent atoms:
1 Tm 0.1343 0.2500 0.2629 (multiplicity 2)
2 C 0.3577 0.2500 0.8342 (multiplicity 2)
3 N 0.1385 0.2500 0.8777 (multiplicity 2)
4 N 0.4283 0.7500 0.2061 (multiplicity 2)
5 F 0.1657 0.7500 0.5079 (multiplicity 2)

Largest 6 diffraction maxima, sorted by position, 2θ from 5° to 70°:
d 5.406, 16.4 deg, intensity 100, hkl 1 0 0; d 3.971, 22.4 deg, intensity 72, hkl 1 0 1; d 3.238, 27.5 deg, intensity 64, hkl 0 0 2; d 3.033, 29.5 deg, intensity 74, hkl 0 1 1; d 2.899, 30.8 deg, intensity 79, hkl 1 1 0; d 2.597, 34.5 deg, intensity 53, hkl 1 1 1


[3]
Simulated powder diffraction line list of Ta5Hg4 for CuKα, from a crystal structure in Alexandria, relaxed with GGA-PBE.
Peak positions follow from Bragg's law for the DFT cell and can differ from measured ones.

Lattice parameters (Å, degrees): 9.3025 9.3025 3.9965 90.00 90.00 90.00
Space group I4/mmm (No. 139)
One atom of each set of equivalent atoms:
1 Ta 0.0000 0.0000 0.0000 (multiplicity 2)
2 Ta 0.1650 0.1650 0.5000 (multiplicity 8)
3 Hg 0.0000 0.3265 0.0000 (multiplicity 8)

Largest 6 diffraction maxima, sorted by position, 2θ from 5° to 70°:
d 2.450, 36.7 deg, intensity 100, hkl 3 0 1; d 2.193, 41.2 deg, intensity 36, hkl 3 3 0; d 1.998, 45.4 deg, intensity 14, hkl 0 0 2; d 1.586, 58.2 deg, intensity 1, hkl 5 2 1; d 1.550, 59.6 deg, intensity 12, hkl 6 0 0; d 1.477, 62.9 deg, intensity 21, hkl 3 3 2


[4]
Simulated powder diffraction line list of LuMnNbCo for CuKα, from a crystal structure in Alexandria, relaxed with GGA-PBE.
Peak positions follow from Bragg's law for the DFT cell and can differ from measured ones.

Lattice parameters (Å, degrees): 6.3031 6.3031 6.3031 90.00 90.00 90.00
Space group F-43m (No. 216)
One atom of each set of equivalent atoms:
1 Lu 0.0000 0.0000 0.0000 (multiplicity 4)
2 Mn 0.2500 0.2500 0.2500 (multiplicity 4)
3 Nb 0.0000 0.0000 0.5000 (multiplicity 4)
4 Co 0.2500 0.2500 0.7500 (multiplicity 4)

Largest 6 diffraction maxima, sorted by position, 2θ from 5° to 70°:
d 3.639, 24.5 deg, intensity 10, hkl 1 1 1; d 3.152, 28.3 deg, intensity 19, hkl 2 0 0; d 2.228, 40.5 deg, intensity 100, hkl 2 2 0; d 1.820, 50.1 deg, intensity 6, hkl 2 2 2; d 1.576, 58.6 deg, intensity 16, hkl 4 0 0; d 1.409, 66.3 deg, intensity 8, hkl 4 2 0


[5]
Simulated powder diffraction line list of CaPdF4 for CuKα, from a crystal structure in Alexandria, relaxed with GGA-PBE.
Peak positions follow from Bragg's law for the DFT cell and can differ from measured ones.

Lattice parameters (Å, degrees): 5.5243 5.5357 5.5539 90.00 92.57 90.00
Space group P2_1/c (No. 14)
One atom of each set of equivalent atoms:
1 Ca 0.0000 0.0000 0.0000 (multiplicity 2)
2 Pd 0.5000 0.0000 0.5000 (multiplicity 2)
3 F 0.1680 0.1631 0.3471 (multiplicity 4)
4 F 0.3267 0.6829 0.3073 (multiplicity 4)

Largest 6 diffraction maxima, sorted by position, 2θ from 5° to 70°:
d 5.519, 16.1 deg, intensity 35, hkl 1 0 0; d 3.919, 22.7 deg, intensity 40, hkl 0 1 1; d 3.244, 27.5 deg, intensity 100, hkl 1 1 -1; d 3.148, 28.3 deg, intensity 89, hkl 1 1 1; d 2.771, 32.3 deg, intensity 36, hkl 0 0 2; d 1.959, 46.3 deg, intensity 34, hkl 0 2 2


[6]
Simulated powder diffraction line list of HfSc2Zn9 for CuKα, from a crystal structure in Alexandria, relaxed with GGA-PBE.
Peak positions follow from Bragg's law for the DFT cell and can differ from measured ones.

Lattice parameters (Å, degrees): 5.2263 5.2263 16.5794 90.00 90.00 120.00
Space group P6_3/mmc (No. 194)
One atom of each set of equivalent atoms:
1 Hf 0.3333 0.6667 0.2500 (multiplicity 2)
2 Sc 0.3333 0.6667 0.0399 (multiplicity 4)
3 Zn 0.0000 0.0000 0.0000 (multiplicity 2)
4 Zn 0.0000 0.0000 0.2500 (multiplicity 2)
5 Zn 0.1695 0.3389 0.6239 (multiplicity 12)
6 Zn 0.3333 0.6667 0.7500 (multiplicity 2)

Largest 6 diffraction maxima, sorted by position, 2θ from 5° to 70°:
d 8.290, 10.7 deg, intensity 30, hkl 0 0 2; d 2.675, 33.5 deg, intensity 33, hkl 1 0 5; d 2.613, 34.3 deg, intensity 27, hkl 1 1 0; d 2.242, 40.2 deg, intensity 42, hkl 2 0 1; d 2.211, 40.8 deg, intensity 100, hkl 1 1 4; d 2.072, 43.7 deg, intensity 25, hkl 0 0 8


[7]
Simulated powder diffraction line list of Tb4Pm3Ho3 for CuKα, from a crystal structure in Alexandria, relaxed with GGA-PBE.
Peak positions follow from Bragg's law for the DFT cell and can differ from measured ones.

Lattice parameters (Å, degrees): 3.7070 13.2852 13.3463 90.00 90.00 90.00
Space group Amm2 (No. 38)
One atom of each set of equivalent atoms:
1 Tb 0.0000 0.0000 0.0000 (multiplicity 2)
2 Tb 0.0000 0.0000 0.2544 (multiplicity 2)
3 Tb 0.0000 0.1260 0.6297 (multiplicity 4)
4 Pm 0.5000 0.0000 0.4553 (multiplicity 2)
5 Pm 0.5000 0.1730 0.1270 (multiplicity 4)
6 Ho 0.0000 0.2468 0.8764 (multiplicity 4)
7 Ho 0.5000 0.0000 0.8007 (multiplicity 2)

Largest 6 diffraction maxima, sorted by position, 2θ from 5° to 70°:
d 2.977, 30.0 deg, intensity 65, hkl 0 4 2; d 2.912, 30.7 deg, intensity 31, hkl 1 2 2; d 2.782, 32.2 deg, intensity 100, hkl 1 1 3; d 1.944, 46.7 deg, intensity 12, hkl 1 5 3; d 1.653, 55.6 deg, intensity 17, hkl 1 4 6; d 1.574, 58.7 deg, intensity 20, hkl 2 4 2


[8]
Simulated powder diffraction line list of Be2TeAs for CuKα, from a crystal structure in Alexandria, relaxed with GGA-PBE.
Peak positions follow from Bragg's law for the DFT cell and can differ from measured ones.

Lattice parameters (Å, degrees): 5.4504 5.4504 10.6534 90.00 90.00 90.00
Space group I-42d (No. 122)
One atom of each set of equivalent atoms:
1 Be 0.2196 0.2500 0.1250 (multiplicity 8)
2 Te 0.0000 0.0000 0.5000 (multiplicity 4)
3 As 0.0000 0.0000 0.0000 (multiplicity 4)

Largest 6 diffraction maxima, sorted by position, 2θ from 5° to 70°:
d 3.122, 28.6 deg, intensity 100, hkl 1 1 2; d 2.725, 32.9 deg, intensity 30, hkl 2 0 0; d 2.663, 33.7 deg, intensity 14, hkl 0 0 4; d 1.905, 47.7 deg, intensity 27, hkl 2 0 4; d 1.640, 56.1 deg, intensity 30, hkl 3 1 2; d 1.613, 57.1 deg, intensity 14, hkl 1 1 6